1.
Starting from the PBE geometry in Alexandria, the X-ray powder pattern of Pr9O16 was computed for Cu Kα (λ = 1.5418 Å).
Lines closer than 0.1° are merged.

Crystal structure
Cell: 6.808 7.054 9.179 Å, 73.71 80.05 82.43°
Space group P-1 (No. 2)
Inequivalent atoms, fractional coordinates:
Pr 0.000 0.000 0.000 [1 per cell]
Pr 0.112 0.520 0.774 [2 per cell]
Pr 0.231 0.125 0.528 [2 per cell]
Pr 0.327 0.696 0.330 [2 per cell]
Pr 0.407 0.241 0.102 [2 per cell]
O 0.024 0.214 0.744 [2 per cell]
O 0.068 0.295 0.047 [2 per cell]
O 0.120 0.805 0.549 [2 per cell]
O 0.219 0.390 0.298 [2 per cell]
O 0.337 0.918 0.058 [2 per cell]
O 0.356 0.421 0.568 [2 per cell]
O 0.433 0.491 0.855 [2 per cell]
O 0.471 0.998 0.336 [2 per cell]

The 10 most intense peaks (2θ from 5° to 70°), sorted by position:
2θ 27.16, I 100; 2θ 30.61, I 11; 2θ 30.74, I 11; 2θ 33.00, I 10; 2θ 43.93, I 17; 2θ 45.64, I 23; 2θ 45.76, I 8; 2θ 52.33, I 14; 2θ 52.50, I 13; 2θ 55.44, I 9


2.
Starting from the PBE geometry in Alexandria, the X-ray powder pattern of Cs2Pb2Se3 was computed for Cu Kα (λ = 1.5418 Å).
Lines closer than 0.1° are merged.

Crystal structure
Cell: 17.639 18.555 7.985 Å, 90.00 115.96 90.00°
Space group C2/c (No. 15)
Inequivalent atoms, fractional coordinates:
Cs 0.000 0.069 0.250 [4 per cell]
Cs 0.000 0.231 0.750 [4 per cell]
Cs 0.109 0.416 0.567 [8 per cell]
Pb 0.187 0.242 0.235 [8 per cell]
Pb 0.202 0.078 0.778 [8 per cell]
Se 0.124 0.388 0.074 [8 per cell]
Se 0.141 0.224 0.535 [8 per cell]
Se 0.168 0.069 0.101 [8 per cell]

The 10 most intense peaks (2θ from 5° to 70°), sorted by position:
2θ 11.16, I 42; 2θ 21.45, I 97; 2θ 22.27, I 36; 2θ 23.39, I 27; 2θ 25.14, I 28; 2θ 27.81, I 52; 2θ 28.55, I 46; 2θ 28.86, I 100; 2θ 36.77, I 64; 2θ 44.57, I 28